Structure and theoretical powder diffractogram of CaZrSi6O17 (a DFT-relaxed cell (GGA-PBE, the Materials Project); Cu Kα, 1.54184 Å).

Largest 6 diffraction maxima, in order of rising 2θ, 2θ = 10–90°:
- (0 2 0), d 7.093, 2θ = 12.48°, rel. 59
- (2 0 0), d 6.720, 2θ = 13.18°, rel. 92
- (2 2 -1), d 4.634, 2θ = 19.15°, rel. 41
- (2 0 1), d 4.336, 2θ = 20.48°, rel. 91
- (2 0 -2), d 3.867, 2θ = 23.00°, rel. 68
- (2 4 -1), d 3.067, 2θ = 29.11°, rel. 100

Atomic structure:
```
data_CaZrSi6O17
_chemical_formula_sum 'Ca4 Zr4 Si24 O68'
_cell_length_a 14.2567
_cell_length_b 14.1862
_cell_length_c 7.9494
_cell_angle_alpha 90.00
_cell_angle_beta 109.49
_cell_angle_gamma 90.00
_space_group_name_H-M_alt 'C 1 2 1'
_space_group_IT_number 5
_space_group_name_Hall 'C 2y'
loop_
_atom_site_label
_atom_site_fract_x
_atom_site_fract_y
_atom_site_fract_z
Ca1 0.2425 0.0000 0.0416
Zr1 0.2487 0.7511 0.9949
Si1 0.0030 0.7616 0.3010
Si2 0.0057 0.2365 0.3051
Si3 0.1532 0.6084 0.2698
Si4 0.1566 0.3878 0.2704
Si5 0.1887 0.8846 0.3403
Si6 0.1906 0.1144 0.3444
O1 0.0000 0.2633 0.5000
O2 0.0000 0.7403 0.5000
O3 0.0533 0.6703 0.2379
O4 0.0566 0.3256 0.2370
O5 0.0742 0.8536 0.3071
O6 0.0781 0.1452 0.3202
O7 0.0839 0.5265 0.8980
O8 0.1040 0.2155 0.8389
O9 0.1068 0.7782 0.8390
O10 0.1133 0.0601 0.7789
O11 0.1286 0.4979 0.2863
O12 0.1907 0.9996 0.3103
O13 0.1998 0.6248 0.1085
O14 0.2014 0.3736 0.1074
O15 0.2297 0.1542 0.1881
O16 0.2315 0.8460 0.1874
O17 0.2367 0.6417 0.4564
O18 0.2415 0.3569 0.4589
```

Structure and theoretical powder diffractogram of CaZrSi6O18 (a DFT-relaxed cell (GGA-PBE, the Materials Project); Cu Kα, 1.54184 Å).

Largest 6 diffraction maxima, in order of rising 2θ, 2θ = 10–90°:
- (2 0 0), d 6.709, 2θ = 13.20°, rel. 70
- (2 2 -1), d 4.625, 2θ = 19.19°, rel. 53
- (2 0 1), d 4.347, 2θ = 20.43°, rel. 100
- (2 0 -2), d 3.843, 2θ = 23.14°, rel. 58
- (2 4 -1), d 3.077, 2θ = 29.02°, rel. 94
- (4 0 -2), d 3.036, 2θ = 29.42°, rel. 44

Atomic structure:
```
data_CaZrSi6O18
_chemical_formula_sum 'Ca4 Zr4 Si24 O72'
_cell_length_a 14.1825
_cell_length_b 14.2814
_cell_length_c 7.9183
_cell_angle_alpha 90.00
_cell_angle_beta 108.90
_cell_angle_gamma 90.00
_space_group_name_H-M_alt 'C 1 2 1'
_space_group_IT_number 5
_space_group_name_Hall 'C 2y'
loop_
_atom_site_label
_atom_site_fract_x
_atom_site_fract_y
_atom_site_fract_z
Ca1 0.2372 0.0000 0.0285
Zr1 0.2488 0.7518 0.9981
Si1 0.0027 0.2445 0.3019
Si2 0.0038 0.7573 0.3040
Si3 0.1576 0.3916 0.2686
Si4 0.1576 0.6101 0.2668
Si5 0.1856 0.8863 0.3416
Si6 0.1865 0.1144 0.3431
O1 0.0000 0.0275 0.0000
O2 0.0000 0.0392 0.5000
O3 0.0000 0.2723 0.5000
O4 0.0000 0.7267 0.5000
O5 0.0561 0.9785 0.9331
O6 0.0575 0.3289 0.2306
O7 0.0596 0.6746 0.2291
O8 0.0735 0.1497 0.3224
O9 0.0741 0.8520 0.3283
O10 0.0988 0.5313 0.7807
O11 0.1059 0.7736 0.8339
O12 0.1066 0.2270 0.8364
O13 0.1257 0.5009 0.2717
O14 0.1812 0.0007 0.3088
O15 0.2082 0.3763 0.1128
O16 0.2082 0.6243 0.1101
O17 0.2233 0.8482 0.1810
O18 0.2240 0.1527 0.1827
O19 0.2366 0.3624 0.4620
O20 0.2387 0.6390 0.4594
```

Structure and theoretical powder diffractogram of Ca2ZrSi4O12 (a DFT-relaxed cell (GGA-PBE, the Materials Project); Cu Kα, 1.54184 Å).

Largest 6 diffraction maxima, in order of rising 2θ, 2θ = 10–90°:
- (0 2 0), d 6.925, 2θ = 12.78°, rel. 41
- (1 2 0), d 4.107, 2θ = 21.64°, rel. 91
- (1 1 -2), d 3.387, 2θ = 26.31°, rel. 30
- (0 2 2), d 3.160, 2θ = 28.24°, rel. 42
- (1 2 -2), d 3.117, 2θ = 28.64°, rel. 66
- (1 4 0), d 2.865, 2θ = 31.22°, rel. 100

Atomic structure:
```
data_Ca2ZrSi4O12
_chemical_formula_sum 'Ca4 Zr2 Si8 O24'
_cell_length_a 5.3917
_cell_length_b 13.8504
_cell_length_c 7.5084
_cell_angle_alpha 90.00
_cell_angle_beta 108.89
_cell_angle_gamma 90.00
_space_group_name_H-M_alt 'P 1 21/m 1'
_space_group_IT_number 11
_space_group_name_Hall '-P 2yb'
loop_
_atom_site_label
_atom_site_fract_x
_atom_site_fract_y
_atom_site_fract_z
Ca1 0.0000 0.0000 0.0000
Ca2 0.1653 0.2500 0.3137
Zr1 0.0000 0.0000 0.5000
Si1 0.4319 0.6398 0.8845
Si2 0.4332 0.6376 0.3178
O1 0.2061 0.5680 0.3424
O2 0.2122 0.5653 0.7564
O3 0.2682 0.1188 0.5456
O4 0.2751 0.1326 0.1217
O5 0.3059 0.7500 0.8128
O6 0.3702 0.7500 0.3627
O7 0.4031 0.6231 0.0943
```

Structure and theoretical powder diffractogram of CaSmTi4O12 (a DFT-relaxed cell (GGA-PBE, the Materials Project); Cu Kα, 1.54184 Å).

Largest 6 diffraction maxima, in order of rising 2θ, 2θ = 10–90°:
- (1 0 0), d 7.743, 2θ = 11.43°, rel. 22
- (1 1 1), d 4.455, 2θ = 19.93°, rel. 93
- (2 2 0), d 2.728, 2θ = 32.83°, rel. 100
- (1 3 1), d 2.323, 2θ = 38.76°, rel. 31
- (0 0 4), d 1.926, 2θ = 47.20°, rel. 32
- (2 4 2), d 1.574, 2θ = 58.67°, rel. 27

Atomic structure:
```
data_CaSmTi4O12
_chemical_formula_sum 'Ca2 Sm2 Ti8 O24'
_cell_length_a 7.7431
_cell_length_b 7.7022
_cell_length_c 7.7023
_cell_angle_alpha 90.00
_cell_angle_beta 90.00
_cell_angle_gamma 90.00
_space_group_name_H-M_alt 'A m m 2'
_space_group_IT_number 38
_space_group_name_Hall 'A 2 -2'
loop_
_atom_site_label
_atom_site_fract_x
_atom_site_fract_y
_atom_site_fract_z
Ca1 0.0000 0.0000 0.0000
Sm1 0.5000 0.0000 0.5390
Ti1 0.2458 0.2418 0.2683
O1 0.0000 0.2194 0.7827
O2 0.2106 0.0000 0.2259
O3 0.2660 0.2178 0.5170
O4 0.2811 0.0000 0.7784
O5 0.5000 0.2131 0.2751
```

Structure and theoretical powder diffractogram of CaSm4Tm4O12 (a DFT-relaxed cell (GGA-PBE, the Materials Project); Cu Kα, 1.54184 Å).

Largest 6 diffraction maxima, in order of rising 2θ, 2θ = 10–90°:
- (0 0 2), d 3.273, 2θ = 27.25°, rel. 78
- (2 0 0), d 3.185, 2θ = 28.01°, rel. 34
- (1 0 -2), d 2.981, 2θ = 29.98°, rel. 43
- (1 2 -1), d 2.958, 2θ = 30.21°, rel. 67
- (1 2 1), d 2.892, 2θ = 30.92°, rel. 100
- (2 0 1), d 2.805, 2θ = 31.90°, rel. 39

Atomic structure:
```
data_CaSm4Tm4O12
_chemical_formula_sum 'Ca1 Sm4 Tm4 O12'
_cell_length_a 6.3802
_cell_length_b 7.6151
_cell_length_c 6.5626
_cell_angle_alpha 90.00
_cell_angle_beta 93.14
_cell_angle_gamma 90.00
_space_group_name_H-M_alt 'P 1 m 1'
_space_group_IT_number 6
_space_group_name_Hall 'P -2y'
loop_
_atom_site_label
_atom_site_fract_x
_atom_site_fract_y
_atom_site_fract_z
Ca1 0.0000 0.0000 0.0000
Sm1 0.2015 0.5000 0.7345
Sm2 0.3353 0.0000 0.6491
Sm3 0.8124 0.5000 0.2775
Sm4 0.8335 0.0000 0.4216
Tm1 0.4023 0.2309 0.2147
Tm2 0.7081 0.2912 0.7931
O1 0.1822 0.0000 0.3077
O2 0.2507 0.2012 0.9109
O3 0.4531 0.2810 0.5460
O4 0.4654 0.5000 0.1505
O5 0.7058 0.0000 0.7427
O6 0.7344 0.2014 0.1397
O7 0.9068 0.5000 0.9389
O8 0.9337 0.3012 0.5523
```

Structure and theoretical powder diffractogram of CaSm4Tm4O12 (a DFT-relaxed cell (GGA-PBE, the Materials Project); Cu Kα, 1.54184 Å).

Largest 6 diffraction maxima, in order of rising 2θ, 2θ = 10–90°:
- (1 1 2), d 3.470, 2θ = 25.67°, rel. 34
- (1 -1 2), d 3.063, 2θ = 29.16°, rel. 52
- (0 2 0), d 2.974, 2θ = 30.04°, rel. 22
- (1 1 -2), d 2.918, 2θ = 30.64°, rel. 58
- (-1 1 2), d 2.893, 2θ = 30.91°, rel. 100
- (2 2 1), d 2.226, 2θ = 40.52°, rel. 22

Atomic structure:
```
data_CaSm4Tm4O12
_chemical_formula_sum 'Ca1 Sm4 Tm4 O12'
_cell_length_a 5.9052
_cell_length_b 6.0105
_cell_length_c 9.2272
_cell_angle_alpha 84.75
_cell_angle_beta 80.52
_cell_angle_gamma 82.93
_space_group_name_H-M_alt 'P 1'
_space_group_IT_number 1
_space_group_name_Hall 'P 1'
loop_
_atom_site_label
_atom_site_fract_x
_atom_site_fract_y
_atom_site_fract_z
Ca1 0.0000 0.0000 0.0000
Sm1 0.0852 0.7750 0.3507
Sm2 0.1321 0.5467 0.8614
Sm3 0.5298 0.1227 0.8479
Sm4 0.6367 0.2391 0.4238
Tm1 0.1126 0.1448 0.6230
Tm2 0.2224 0.2790 0.1935
Tm3 0.6085 0.6544 0.0940
Tm4 0.6723 0.6373 0.6715
O1 0.3017 0.0652 0.4033
O2 0.3260 0.8604 0.7390
O3 0.3727 0.9564 0.0888
O4 0.4077 0.3739 0.6511
O5 0.4134 0.5130 0.2951
O6 0.4453 0.4275 0.9953
O7 0.7806 0.7889 0.8723
O8 0.8418 0.9418 0.5608
O9 0.8580 0.3379 0.7831
O10 0.8981 0.4715 0.4810
O11 0.9002 0.0962 0.2332
O12 0.9835 0.6059 0.1271
```

Structure and theoretical powder diffractogram of CaSm4Tm4O12 (a DFT-relaxed cell (GGA-PBE, the Materials Project); Cu Kα, 1.54184 Å).

Largest 6 diffraction maxima, in order of rising 2θ, 2θ = 10–90°:
- (1 -1 2), d 3.042, 2θ = 29.36°, rel. 100
- (0 2 0), d 3.017, 2θ = 29.61°, rel. 50
- (-1 1 2), d 2.968, 2θ = 30.11°, rel. 96
- (1 1 -2), d 2.928, 2θ = 30.54°, rel. 99
- (2 0 0), d 2.878, 2θ = 31.08°, rel. 71
- (1 1 3), d 2.791, 2θ = 32.07°, rel. 55

Atomic structure:
```
data_CaSm4Tm4O12
_chemical_formula_sum 'Ca1 Sm4 Tm4 O12'
_cell_length_a 5.8635
_cell_length_b 6.1236
_cell_length_c 9.4261
_cell_angle_alpha 82.56
_cell_angle_beta 80.98
_cell_angle_gamma 82.58
_space_group_name_H-M_alt 'P 1'
_space_group_IT_number 1
_space_group_name_Hall 'P 1'
loop_
_atom_site_label
_atom_site_fract_x
_atom_site_fract_y
_atom_site_fract_z
Ca1 0.0000 0.0000 0.0000
Sm1 0.0995 0.1389 0.6095
Sm2 0.1849 0.3131 0.1831
Sm3 0.5804 0.6738 0.0517
Sm4 0.6413 0.6494 0.6238
Tm1 0.0969 0.5972 0.8244
Tm2 0.1406 0.7552 0.3987
Tm3 0.5322 0.1594 0.8316
Tm4 0.6321 0.2353 0.3931
O1 0.2397 0.7411 0.6070
O2 0.3100 0.0762 0.3793
O3 0.3742 0.0131 0.0527
O4 0.3938 0.4594 0.9349
O5 0.4106 0.5377 0.2764
O6 0.4454 0.3099 0.6185
O7 0.7870 0.8651 0.8262
O8 0.8241 0.9459 0.5010
O9 0.8514 0.1725 0.1925
O10 0.8540 0.3782 0.7713
O11 0.9046 0.4681 0.4447
O12 0.9686 0.6359 0.0639
```

Structure and theoretical powder diffractogram of CaSm4Tm4O12 (a DFT-relaxed cell (GGA-PBE, the Materials Project); Cu Kα, 1.54184 Å).

Largest 6 diffraction maxima, in order of rising 2θ, 2θ = 10–90°:
- (0 0 2), d 3.078, 2θ = 29.01°, rel. 28
- (1 2 -1), d 3.022, 2θ = 29.56°, rel. 88
- (1 2 1), d 3.003, 2θ = 29.76°, rel. 100
- (2 0 0), d 2.936, 2θ = 30.44°, rel. 42
- (0 4 0), d 2.136, 2θ = 42.30°, rel. 41
- (3 2 1), d 1.704, 2θ = 53.79°, rel. 19

Atomic structure:
```
data_CaSm4Tm4O12
_chemical_formula_sum 'Ca1 Sm4 Tm4 O12'
_cell_length_a 5.8728
_cell_length_b 8.5409
_cell_length_c 6.1572
_cell_angle_alpha 90.00
_cell_angle_beta 90.74
_cell_angle_gamma 90.00
_space_group_name_H-M_alt 'P 1 m 1'
_space_group_IT_number 6
_space_group_name_Hall 'P -2y'
loop_
_atom_site_label
_atom_site_fract_x
_atom_site_fract_y
_atom_site_fract_z
Ca1 0.0000 0.0000 0.0000
Sm1 0.3702 0.5000 0.6824
Sm2 0.4795 0.0000 0.8121
Sm3 0.8316 0.0000 0.4281
Sm4 0.9270 0.5000 0.1987
Tm1 0.4137 0.2553 0.2438
Tm2 0.8956 0.2808 0.7410
O1 0.1059 0.3342 0.4515
O2 0.1212 0.0000 0.6574
O3 0.1974 0.3284 0.9511
O4 0.3358 0.0000 0.1737
O5 0.5518 0.5000 0.3150
O6 0.5862 0.2018 0.5590
O7 0.7349 0.1922 0.0661
O8 0.7437 0.5000 0.8211
```